Diffraction record for RbTmCo2Cl8. The PXRD pattern is computed, not measured: it uses a cell relaxed with GGA-PBE and Cu Kα X-rays.
No peak broadening, texture or thermal motion is included.

The 10 most intense peaks (2θ = 10–80°), low angle first:
2theta  I/Imax  hkl
14.76  55  1 1 0
16.71  81  2 0 0
16.96  93  1 1 -1
19.76  41  2 0 1
22.94  100  1 1 -2
24.11  99  1 1 2
24.46  63  0 2 0
28.05  95  3 1 0
30.68  88  0 2 2
47.56  54  4 2 2

Structural model:
Cell lengths 10.6537, 7.2798, 9.7726 Å; angles 90.00, 95.11, 90.00 degrees
Space group C2/m (No. 12)
Inequivalent atoms, fractional coordinates:
Rb 0.0000 0.0000 0.0000
Tm 0.0000 0.0000 0.5000
Co 0.1214 0.5000 0.2913
Cl 0.0082 0.2478 0.6967
Cl 0.1961 0.5000 0.0902
Cl 0.2449 0.0000 0.5135